For TbTaTiO6, a DFT-relaxed cell (GGA-PBE, Alexandria) gives the simulated powder diffraction line list in this record (Cu Kα).

The 10 most intense peaks (5 to 70 degrees two-theta), by angle:
20.0°, I = 43, hkl 2 0 1
22.2°, I = 40, hkl 1 1 1
28.9°, I = 26, hkl 2 0 2
29.5°, I = 71, hkl 3 1 0
30.5°, I = 100, hkl 1 1 2
31.9°, I = 19, hkl 3 1 1
34.2°, I = 25, hkl 0 2 0
46.0°, I = 19, hkl 5 1 1
58.2°, I = 22, hkl 3 1 4
61.0°, I = 20, hkl 0 2 4

Cell and atoms:
```
TbTaTiO6
1.0
11.0991 0.0000 0.0000
0.0000 5.2487 0.0000
0.0000 0.0000 7.4484
Tb Ta Ti O
4 4 4 24
Cartesian
0.4990 0.2314 0.0000 Tb
5.0506 2.8558 3.7242 Tb
6.0485 2.3929 0.0000 Tb
10.6002 5.0173 3.7242 Tb
1.6012 2.8251 1.9260 Ta
3.9484 0.2008 5.6502 Ta
7.1507 5.0479 1.9260 Ta
9.4980 2.4236 5.6502 Ta
1.5680 2.8116 5.5318 Ti
3.9816 0.1872 1.8075 Ti
7.1175 5.0615 5.5318 Ti
9.5312 2.4371 1.8075 Ti
0.2720 1.3841 5.2856 O
0.3198 1.3503 2.1873 O
1.3001 3.5423 3.7504 O
1.5920 2.3098 7.4463 O
2.2952 4.6110 6.0884 O
2.3555 4.6268 1.3818 O
3.1941 2.0025 5.1060 O
3.2544 1.9866 2.3642 O
3.9576 4.9342 3.7221 O
4.2495 0.9179 0.0262 O
5.2298 3.9746 5.9115 O
5.2776 4.0085 1.5614 O
5.8215 1.2402 5.2856 O
5.8693 1.2741 2.1873 O
6.8497 4.3308 3.7504 O
7.1415 0.3145 7.4463 O
7.8447 3.2620 6.0884 O
7.9051 3.2462 1.3818 O
8.7436 0.6219 5.1060 O
8.8040 0.6377 2.3642 O
9.5072 2.9388 3.7221 O
9.7990 1.7064 0.0262 O
10.7794 3.8984 5.9115 O
10.8272 3.8645 1.5614 O
```